The following is a calculated powder X-ray diffraction pattern of Na2ZnAg. It was derived from a cell relaxed with PBE, using Cu Kα (λ = 1.5418 Å).

Most intense lines, 2θ from 10° to 90°, in order of falling intensity:
d = 2.467 Å, 36.42°, I = 100; d = 4.029 Å, 22.06°, I = 44; d = 1.424 Å, 65.54°, I = 32; d = 2.104 Å, 42.99°, I = 23; d = 1.744 Å, 52.45°, I = 17; d = 1.103 Å, 88.65°, I = 14; d = 1.234 Å, 77.36°, I = 10; d = 1.601 Å, 57.58°, I = 9; d = 1.179 Å, 81.63°, I = 7; d = 1.343 Å, 70.07°, I = 7

Cell and atoms:
```
4
Lattice="0.000 3.489 3.489 3.489 0.000 3.489 3.489 3.489 0.000" Properties=species:S:1:pos:R:3 pbc="T T T"
Na 0.000 0.000 0.000
Na 1.744 1.744 1.744
Zn 3.489 3.489 3.489
Ag 5.233 5.233 5.233
```

---

The following is a calculated powder X-ray diffraction pattern of Nb11Ag3. It was derived from a cell relaxed with PBE, using Cu Kα (λ = 1.5418 Å).

Most intense lines, 2θ from 10° to 90°, in order of falling intensity:
d = 2.496 Å, 35.98°, I = 100; d = 2.343 Å, 38.43°, I = 95; d = 2.455 Å, 36.60°, I = 90; d = 2.411 Å, 37.29°, I = 89; d = 2.170 Å, 41.61°, I = 62; d = 2.052 Å, 44.14°, I = 54; d = 2.082 Å, 43.47°, I = 53; d = 1.348 Å, 69.76°, I = 27; d = 1.336 Å, 70.49°, I = 24; d = 1.301 Å, 72.66°, I = 23

Cell and atoms:
```
14
Lattice="5.099 -3.982 0.000 5.099 3.982 0.000 -2.349 0.000 6.406" Properties=species:S:1:pos:R:3 pbc="T T T"
Nb 0.000 0.000 0.000
Nb 3.400 2.519 1.713
Nb 2.188 1.486 5.011
Nb 2.758 0.000 0.454
Nb 6.082 2.495 2.297
Nb 4.876 1.461 5.602
Nb 5.517 0.000 0.900
Nb 2.188 -1.486 5.011
Nb 3.400 -2.519 1.713
Nb 4.876 -1.461 5.602
Nb 6.082 -2.495 2.297
Ag -0.676 0.000 4.122
Ag 3.855 0.000 3.192
Ag 6.688 0.000 3.653
```

---

The following is a calculated powder X-ray diffraction pattern of Nb4Ag2O11. It was derived from a cell relaxed with PBE, using Cu Kα (λ = 1.5418 Å).

Most intense lines, 2θ from 10° to 90°, in order of falling intensity:
d = 2.779 Å, 32.21°, I = 100; d = 3.116 Å, 28.65°, I = 79; d = 2.799 Å, 31.97°, I = 53; d = 3.016 Å, 29.62°, I = 41; d = 1.796 Å, 50.85°, I = 32; d = 1.553 Å, 59.54°, I = 26; d = 1.559 Å, 59.29°, I = 24; d = 3.032 Å, 29.46°, I = 21; d = 1.804 Å, 50.61°, I = 16; d = 1.736 Å, 52.74°, I = 14

Cell and atoms:
```
34
Lattice="5.411 -3.105 0.000 5.411 3.105 0.000 -3.480 0.000 12.461" Properties=species:S:1:pos:R:3 pbc="T T T"
Nb 3.671 2.705 6.230
Nb 1.982 1.592 9.222
Nb 0.482 0.438 12.460
Nb 2.222 -0.438 6.230
Nb 3.876 0.732 12.367
Nb 3.722 -1.592 2.992
Nb 5.616 -0.732 6.137
Nb 5.411 -2.705 0.000
Ag 1.955 1.497 2.898
Ag 5.539 1.524 3.259
Ag 0.215 -1.497 9.128
Ag 3.798 -1.524 9.490
O 2.040 1.555 5.953
O 3.412 2.526 8.289
O 0.239 0.034 6.249
O 1.980 -0.034 0.019
O 0.800 0.585 10.577
O 5.594 1.543 0.510
O 3.897 0.102 2.046
O 2.157 -0.102 8.276
O 4.293 0.791 6.283
O 2.540 -0.585 4.346
O 3.617 0.852 10.508
O 0.300 -1.555 12.183
O 7.658 0.814 2.045
O 6.033 -0.791 0.053
O 7.001 0.769 6.292
O 5.357 -0.852 4.278
O 3.853 -1.543 6.740
O 5.918 -0.814 8.275
O 8.741 -0.769 0.061
O 5.153 -2.526 2.059
O 7.314 0.045 10.580
O 9.055 -0.045 4.349
```

---

The following is a calculated powder X-ray diffraction pattern of Nb2Ag2O5. It was derived from a cell relaxed with PBE, using Cu Kα (λ = 1.5418 Å).

Most intense lines, 2θ from 10° to 90°, in order of falling intensity:
d = 2.763 Å, 32.40°, I = 100; d = 2.823 Å, 31.69°, I = 45; d = 1.618 Å, 56.90°, I = 38; d = 1.996 Å, 45.43°, I = 29; d = 1.584 Å, 58.23°, I = 16; d = 1.382 Å, 67.83°, I = 15; d = 1.914 Å, 47.50°, I = 12; d = 1.412 Å, 66.20°, I = 9; d = 1.257 Å, 75.65°, I = 8; d = 1.136 Å, 85.46°, I = 8

Cell and atoms:
```
9
Lattice="3.993 0.000 0.000 0.000 3.993 0.000 0.000 0.000 7.656" Properties=species:S:1:pos:R:3 pbc="T T T"
Nb 0.000 0.000 1.854
Nb 0.000 0.000 5.802
Ag 1.996 1.996 0.000
Ag 1.996 1.996 3.828
O 0.000 0.000 3.828
O 0.000 1.996 1.763
O 0.000 1.996 5.894
O 1.996 0.000 1.763
O 1.996 0.000 5.894
```

---

The following is a calculated powder X-ray diffraction pattern of Nb2AgO2. It was derived from a cell relaxed with PBE, using Cu Kα (λ = 1.5418 Å).

Most intense lines, 2θ from 10° to 90°, in order of falling intensity:
d = 2.631 Å, 34.08°, I = 100; d = 2.166 Å, 41.71°, I = 82; d = 2.349 Å, 38.31°, I = 80; d = 2.311 Å, 38.98°, I = 71; d = 2.467 Å, 36.41°, I = 56; d = 2.116 Å, 42.74°, I = 49; d = 1.401 Å, 66.79°, I = 48; d = 2.764 Å, 32.39°, I = 43; d = 2.079 Å, 43.52°, I = 43; d = 4.935 Å, 17.98°, I = 36

Cell and atoms:
```
10
Lattice="-3.312 3.699 2.671 3.312 -3.699 2.671 3.312 3.699 -2.671" Properties=species:S:1:pos:R:3 pbc="T T T"
Nb 1.057 1.419 0.000
Nb 4.369 2.280 0.000
Nb -1.057 1.419 2.671
Nb 2.255 2.280 2.671
Ag 3.312 0.000 1.416
Ag 0.000 3.699 1.416
O 0.915 -0.755 0.597
O 5.709 0.755 0.597
O 2.397 2.943 0.597
O 0.915 0.755 3.269
```

---

The following is a calculated powder X-ray diffraction pattern of NbAgO3. It was derived from a cell relaxed with PBE, using Cu Kα (λ = 1.5418 Å).

Most intense lines, 2θ from 10° to 90°, in order of falling intensity:
d = 2.786 Å, 32.13°, I = 100; d = 1.609 Å, 57.26°, I = 25; d = 1.984 Å, 45.72°, I = 22; d = 2.823 Å, 31.69°, I = 20; d = 1.623 Å, 56.73°, I = 13; d = 1.393 Å, 67.22°, I = 12; d = 1.955 Å, 46.45°, I = 12; d = 1.601 Å, 57.57°, I = 8; d = 1.238 Å, 77.01°, I = 6; d = 1.253 Å, 75.93°, I = 5

Cell and atoms:
```
40
Lattice="5.579 0.000 0.000 0.000 5.647 0.000 0.000 0.000 15.639" Properties=species:S:1:pos:R:3 pbc="T T T"
Nb 1.359 1.239 1.957
Nb 1.359 1.239 5.862
Nb 1.359 1.585 9.777
Nb 1.359 1.585 13.682
Nb 4.220 4.062 1.957
Nb 4.220 4.062 5.862
Nb 4.220 4.408 9.777
Nb 4.220 4.408 13.682
Ag 1.431 4.235 0.000
Ag 1.431 4.235 7.819
Ag 1.458 4.085 3.910
Ag 1.458 4.385 11.729
Ag 4.121 1.262 3.910
Ag 4.121 1.562 11.729
Ag 4.148 1.412 0.000
Ag 4.148 1.412 7.819
O 0.241 3.060 1.687
O 0.241 3.060 6.133
O 0.241 5.410 9.506
O 0.241 5.410 13.952
O 1.029 1.276 11.729
O 1.029 1.547 3.910
O 1.778 1.412 0.000
O 1.778 1.412 7.819
O 2.551 3.040 10.046
O 2.551 3.040 13.413
O 2.551 5.430 2.226
O 2.551 5.430 5.593
O 3.028 0.217 10.046
O 3.028 0.217 13.413
O 3.028 2.606 2.226
O 3.028 2.606 5.593
O 3.801 4.235 0.000
O 3.801 4.235 7.819
O 4.550 4.100 11.729
O 4.550 4.371 3.910
O 5.338 0.237 1.687
O 5.338 0.237 6.133
O 5.338 2.587 9.506
O 5.338 2.587 13.952
```

---

The following is a calculated powder X-ray diffraction pattern of NbAgO3. It was derived from a cell relaxed with PBE, using Cu Kα (λ = 1.5418 Å).

Most intense lines, 2θ from 10° to 90°, in order of falling intensity:
d = 3.010 Å, 29.68°, I = 100; d = 2.710 Å, 33.06°, I = 77; d = 2.014 Å, 45.02°, I = 35; d = 1.616 Å, 56.97°, I = 32; d = 1.881 Å, 48.38°, I = 30; d = 1.565 Å, 59.04°, I = 22; d = 4.028 Å, 22.07°, I = 16; d = 1.810 Å, 50.43°, I = 13; d = 1.235 Å, 77.21°, I = 12; d = 1.355 Å, 69.36°, I = 10

Cell and atoms:
```
10
Lattice="2.710 1.565 5.230 -2.710 1.565 5.230 0.000 -3.129 5.230" Properties=species:S:1:pos:R:3 pbc="T T T"
Nb 0.000 0.000 2.344
Nb 0.000 0.000 13.345
Ag 0.000 0.000 5.735
Ag 0.000 0.000 9.954
O -2.131 -0.059 6.714
O -1.014 -1.875 8.975
O 1.117 -1.816 6.714
O -1.117 1.816 8.975
O 1.014 1.875 6.714
O 2.131 0.059 8.975
```